# 1
Structure and computed XRD peak list of Li3C2O6 (a cell relaxed with GGA-PBE; Cu Kα (λ = 1.5418 Å)).
Neutral-atom scattering factors, no anomalous dispersion.

Cell and atoms:
abc: 4.9032 4.9032 6.2109
angles: 90.00 90.00 120.00
Space group P-3 (No. 147)
One atom of each set of equivalent atoms:
1 Li 0.0000 0.0000 0.0000 x1
2 Li 0.3333 0.6667 0.7279 x2
3 C 0.3333 0.6667 0.2144 x2
4 O 0.0795 0.6841 0.2148 x6

Main lines, low angle first (2θ = 10–90°):
index	2θ/deg	Rel. int.
0 0 1	14.26	45
1 0 0	20.92	27
0 1 1	25.41	84
0 0 2	28.75	100
0 1 2	35.82	30
1 1 1	39.52	77
1 1 2	47.24	9
2 1 0	57.41	12
2 -1 3	58.34	13
0 0 4	59.51	11
3 -1 2	65.46	12
3 0 0	66.00	8

***

# 2
Structure and computed XRD peak list of MgIrRh (a cell relaxed with GGA-PBE; Cu Kα (λ = 1.5418 Å)).
Neutral-atom scattering factors, no anomalous dispersion.

Cell and atoms:
abc: 4.7517 4.7517 6.9141
angles: 90.00 90.00 120.00
Space group P3_212 (No. 153)
One atom of each set of equivalent atoms:
1 Mg 0.2142 0.4285 0.3333 x3
2 Ir 0.2287 0.1144 0.0000 x3
3 Rh 0.5540 0.1081 0.3333 x3

Main lines, low angle first (2θ = 10–90°):
index	2θ/deg	Rel. int.
1 0 0	21.60	30
1 0 1	25.18	44
1 0 2	33.87	21
0 0 3	39.08	36
2 -1 1	40.13	100
1 1 2	46.37	66
2 -1 4	66.95	22
3 0 0	68.39	20
1 1 5	80.34	13
3 0 3	81.69	25
2 2 1	82.37	12
4 -2 2	86.66	11

***

# 3
Structure and computed XRD peak list of Tb5Pr5Tm (a cell relaxed with GGA-PBE; Cu Kα (λ = 1.5418 Å)).
Neutral-atom scattering factors, no anomalous dispersion.

Cell and atoms:
abc: 19.067 6.059 7.069
angles: 90.00 111.66 90.00
Space group C2/m (No. 12)
One atom of each set of equivalent atoms:
1 Tb 0.000 0.000 0.000 x2
2 Tb 0.122 0.500 0.123 x4
3 Tb 0.169 0.500 0.670 x4
4 Pr 0.000 0.500 0.500 x2
5 Pr 0.175 0.000 0.431 x4
6 Pr 0.175 0.000 0.919 x4
7 Tm 0.000 0.000 0.500 x2

Main lines, low angle first (2θ = 10–90°):
index	2θ/deg	Rel. int.
4 0 -2	27.16	21
4 0 1	28.17	16
5 1 0	29.19	18
0 2 0	29.48	58
3 1 -2	29.69	17
6 0 0	30.26	33
1 1 2	33.03	100
4 2 -2	40.52	15
6 2 0	42.76	25
1 3 2	54.59	24
10 2 -2	57.79	14
4 2 -4	60.67	15

***

# 4
Structure and computed XRD peak list of Ac7Ni3 (a cell relaxed with GGA-PBE; Cu Kα (λ = 1.5418 Å)).
Neutral-atom scattering factors, no anomalous dispersion.

Cell and atoms:
abc: 10.5733 10.5733 6.8074
angles: 90.00 90.00 120.00
Space group P6_3mc (No. 186)
One atom of each set of equivalent atoms:
1 Ac 0.0824 0.5412 0.0000 x6
2 Ac 0.1259 0.2517 0.3329 x6
3 Ac 0.3333 0.6667 0.5367 x2
4 Ni 0.1883 0.3766 0.7607 x6

Main lines, low angle first (2θ = 10–90°):
index	2θ/deg	Rel. int.
2 0 1	23.42	12
2 1 0	25.74	21
1 0 2	27.97	36
2 1 1	28.94	100
3 0 1	32.14	28
2 0 2	32.79	27
2 2 0	33.91	23
3 0 3	50.09	26
3 2 2	51.09	24
5 0 1	51.69	24
3 3 0	51.89	16
6 0 3	74.98	13

***

# 5
Structure and computed XRD peak list of Rb3AuSe (a cell relaxed with GGA-PBE; Cu Kα (λ = 1.5418 Å)).
Neutral-atom scattering factors, no anomalous dispersion.

Cell and atoms:
abc: 4.927 9.213 9.773
angles: 84.68 89.94 74.66
Space group P-1 (No. 2)
One atom of each set of equivalent atoms:
1 Rb 0.063 0.379 0.143 x2
2 Rb 0.236 0.028 0.831 x2
3 Rb 0.395 0.709 0.421 x2
4 Au 0.206 0.089 0.448 x2
5 Se 0.388 0.720 0.088 x2

Main lines, low angle first (2θ = 10–90°):
index	2θ/deg	Rel. int.
0 1 0	10.00	81
0 1 1	12.87	36
0 1 -1	14.17	45
1 2 1	24.73	100
1 1 2	25.89	48
0 0 3	27.51	31
1 2 -2	30.83	51
1 3 0	31.12	71
0 2 3	32.62	33
1 0 3	33.88	61
2 1 0	36.47	50
0 3 3	39.29	36

***

# 6
Structure and computed XRD peak list of CrCo2Ru (a cell relaxed with GGA-PBE; Cu Kα (λ = 1.5418 Å)).
Neutral-atom scattering factors, no anomalous dispersion.

Cell and atoms:
abc: 2.5889 2.5889 24.9480
angles: 90.00 90.00 120.00
Space group R3m (No. 160, hexagonal axes)
One atom of each set of equivalent atoms:
1 Cr 0.0000 0.0000 0.0000 x3
2 Co 0.0000 0.0000 0.4945 x3
3 Co 0.0000 0.0000 0.7494 x3
4 Ru 0.0000 0.0000 0.2505 x3

Main lines, low angle first (2θ = 10–90°):
index	2θ/deg	Rel. int.
0 0 3	10.64	15
0 0 6	21.37	7
0 0 9	32.29	4
0 1 2	40.90	4
1 0 4	42.86	100
0 0 12	43.53	31
0 1 5	44.29	3
0 1 8	50.11	61
1 1 0	73.10	18
1 0 16	74.06	18
0 2 4	88.65	11
1 1 12	89.11	21

***

# 7
Structure and computed XRD peak list of Pm12SmY3 (a cell relaxed with GGA-PBE; Cu Kα (λ = 1.5418 Å)).
Neutral-atom scattering factors, no anomalous dispersion.

Cell and atoms:
abc: 5.142 5.142 20.526
angles: 90.00 90.00 90.00
Space group P4/mmm (No. 123)
One atom of each set of equivalent atoms:
1 Pm 0.000 0.000 0.000 x1
2 Pm 0.000 0.000 0.249 x2
3 Pm 0.000 0.000 0.500 x1
4 Pm 0.000 0.500 0.125 x4
5 Pm 0.000 0.500 0.375 x4
6 Sm 0.500 0.500 0.500 x1
7 Y 0.500 0.500 0.000 x1
8 Y 0.500 0.500 0.250 x2

Main lines, low angle first (2θ = 10–90°):
index	2θ/deg	Rel. int.
1 0 0	17.26	2
1 1 0	24.50	1
1 1 4	30.12	100
2 0 0	34.92	51
2 2 0	50.22	36
3 1 4	59.68	43
2 2 8	62.63	12
4 0 0	73.70	4
0 0 16	73.87	2
3 3 4	81.68	17
4 2 0	84.23	11
2 0 16	84.38	5

***

# 8
Structure and computed XRD peak list of YMgZn2Au4 (a cell relaxed with GGA-PBE; Cu Kα (λ = 1.5418 Å)).
Neutral-atom scattering factors, no anomalous dispersion.

Cell and atoms:
abc: 4.5951 4.5951 24.5717
angles: 90.00 90.00 120.00
Space group R-3m (No. 166, hexagonal axes)
One atom of each set of equivalent atoms:
1 Y 0.0000 0.0000 0.0000 x3
2 Mg 0.0000 0.0000 0.5000 x3
3 Zn 0.0000 0.0000 0.2474 x6
4 Au 0.0000 0.0000 0.1278 x6
5 Au 0.0000 0.0000 0.3901 x6

Main lines, low angle first (2θ = 10–90°):
index	2θ/deg	Rel. int.
1 0 4	26.69	61
1 0 7	34.06	13
0 1 8	36.97	94
1 1 0	39.21	100
0 2 4	48.07	13
2 0 8	54.99	30
2 1 4	63.70	12
1 0 16	65.10	9
1 2 8	69.60	29
1 1 15	70.62	12
3 0 0	71.07	17
2 2 0	84.30	11

***

# 9
Structure and computed XRD peak list of La2MnC4 (a cell relaxed with GGA-PBE; Cu Kα (λ = 1.5418 Å)).
Neutral-atom scattering factors, no anomalous dispersion.

Cell and atoms:
abc: 7.702 10.510 5.268
angles: 90.00 90.00 90.00
Space group Ibam (No. 72)
One atom of each set of equivalent atoms:
1 La 0.165 0.145 0.000 x8
2 Mn 0.000 0.500 0.250 x4
3 C 0.163 0.423 0.000 x8
4 C 0.168 0.119 0.500 x8

Main lines, low angle first (2θ = 10–90°):
index	2θ/deg	Rel. int.
1 2 1	26.61	100
1 3 0	27.98	46
2 1 1	29.97	70
0 0 2	34.07	41
3 1 0	36.01	30
1 1 2	37.07	22
1 4 1	40.10	16
2 0 2	41.57	32
3 3 0	43.71	16
0 4 2	48.96	26
2 5 1	52.55	20
3 3 2	56.53	47